Diffraction record for LaSi3Rh. The powder diffractogram is simulated, not measured: it uses a GGA-PBE-relaxed structure and Cu Ka.
Kinematic intensities with the Lorentz-polarization factor, no thermal factor.

Cell and atoms:
```
data_LaSi3Rh
_chemical_formula_sum 'La2 Si6 Rh2'
_cell_length_a 4.279
_cell_length_b 4.279
_cell_length_c 9.905
_cell_angle_alpha 90.00
_cell_angle_beta 90.00
_cell_angle_gamma 90.00
_symmetry_space_group_name_H-M 'I 4 m m'
_symmetry_Int_Tables_number 107
_symmetry_space_group_name_Hall 'I 4 -2'
loop_
_atom_site_label
_atom_site_fract_x
_atom_site_fract_y
_atom_site_fract_z
La1 0.000 0.000 0.000
Si1 0.000 0.000 0.413
Si2 0.000 0.500 0.263
Rh1 0.000 0.000 0.654
```

The 12 most intense peaks (2θ = 10–90°), by angle:
- 17.91 deg, d 4.952, intensity 14, hkl 0 0 2
- 22.64 deg, d 3.928, intensity 39, hkl 1 0 1
- 29.52 deg, d 3.025, intensity 58, hkl 1 1 0
- 34.31 deg, d 2.614, intensity 100, hkl 1 0 3
- 34.75 deg, d 2.582, intensity 58, hkl 1 1 2
- 42.24 deg, d 2.139, intensity 51, hkl 2 0 0
- 50.79 deg, d 1.798, intensity 20, hkl 1 0 5
- 55.51 deg, d 1.656, intensity 50, hkl 2 1 3
- 61.28 deg, d 1.513, intensity 17, hkl 2 2 0
- 64.28 deg, d 1.449, intensity 17, hkl 1 1 6
- 68.13 deg, d 1.376, intensity 16, hkl 2 1 5
- 87.31 deg, d 1.117, intensity 14, hkl 3 2 3